(1)
Diffraction record for Nb5VC3. The PXRD pattern is computed, not measured: it uses a structure optimized by DFT (PBE) and Cu Kα.
Lines closer than 0.1° are merged.

Structure:
Lattice parameters (Å, degrees): 11.3317 11.3317 3.1881 90.00 90.00 142.10
Atoms (fractional coordinates):
Nb 0.0406 0.3723 0.5000
Nb 0.0687 0.9313 0.0000
Nb 0.2692 0.7308 0.0000
Nb 0.2967 0.2967 0.5000
Nb 0.3723 0.0406 0.5000
Nb 0.6277 0.9594 0.5000
Nb 0.7033 0.7033 0.5000
Nb 0.7308 0.2692 0.0000
Nb 0.9313 0.0687 0.0000
Nb 0.9594 0.6277 0.5000
V 0.4030 0.5970 0.0000
V 0.5970 0.4030 0.0000
C 0.0000 0.0000 0.5000
C 0.1690 0.8310 0.0000
C 0.3413 0.6587 0.5000
C 0.5000 0.5000 0.0000
C 0.6587 0.3413 0.5000
C 0.8310 0.1690 0.0000

Principal peaks in the range 2θ from 15° to 90°, sorted by position:
2theta	I (rel.)
35.00	85
37.32	100
37.82	96
38.81	31
39.78	26
57.85	19
61.57	34
63.97	18
69.43	22
71.86	23

***

(2)
Diffraction record for Nb3V3C. The PXRD pattern is computed, not measured: it uses a structure optimized by DFT (PBE) and Cu Kα.
Lines closer than 0.1° are merged.

Structure:
Lattice parameters (Å, degrees): 8.3273 8.3273 8.3273 60.00 60.00 60.00
Atoms (fractional coordinates):
Nb 0.0639 0.0639 0.6861
Nb 0.0639 0.6861 0.0639
Nb 0.0639 0.6861 0.6861
Nb 0.3139 0.3139 0.9361
Nb 0.3139 0.9361 0.3139
Nb 0.3139 0.9361 0.9361
Nb 0.6861 0.0639 0.0639
Nb 0.6861 0.0639 0.6861
Nb 0.6861 0.6861 0.0639
Nb 0.9361 0.3139 0.3139
Nb 0.9361 0.3139 0.9361
Nb 0.9361 0.9361 0.3139
V 0.0000 0.5000 0.5000
V 0.2938 0.2938 0.2938
V 0.2938 0.2938 0.6185
V 0.2938 0.6185 0.2938
V 0.3815 0.7062 0.7062
V 0.5000 0.0000 0.5000
V 0.5000 0.5000 0.0000
V 0.5000 0.5000 0.5000
V 0.6185 0.2938 0.2938
V 0.7062 0.3815 0.7062
V 0.7062 0.7062 0.3815
V 0.7062 0.7062 0.7062
C 0.0000 0.0000 0.0000
C 0.0000 0.0000 0.5000
C 0.0000 0.5000 0.0000
C 0.5000 0.0000 0.0000

Principal peaks in the range 2θ from 15° to 90°, sorted by position:
2theta	I (rel.)
30.36	7
33.16	21
37.41	48
39.77	100
43.47	24
55.74	9
64.80	9
67.49	42
69.07	9
81.29	17

***

(3)
Diffraction record for NbV3C. The PXRD pattern is computed, not measured: it uses a structure optimized by DFT (PBE) and Cu Kα.
Lines closer than 0.1° are merged.

Structure:
Lattice parameters (Å, degrees): 4.0430 4.0430 4.0430 90.00 90.00 90.00
Atoms (fractional coordinates):
Nb 0.0000 0.0000 0.0000
V 0.0000 0.5000 0.5000
V 0.5000 0.0000 0.5000
V 0.5000 0.5000 0.0000
C 0.5000 0.5000 0.5000

Principal peaks in the range 2θ from 15° to 90°, sorted by position:
2theta	I (rel.)
21.98	6
31.29	15
38.57	100
44.84	56
50.48	4
55.69	6
65.28	33
74.17	2
78.46	33
82.68	11

***

(4)
Diffraction record for NbWC. The PXRD pattern is computed, not measured: it uses a structure optimized by DFT (PBE) and Cu Kα.
Lines closer than 0.1° are merged.

Structure:
Lattice parameters (Å, degrees): 10.9779 3.0417 4.8581 90.00 98.41 90.00
Atoms (fractional coordinates):
Nb 0.0000 0.0000 0.0000
Nb 0.1643 0.0000 0.5798
Nb 0.5000 0.5000 0.0000
Nb 0.6643 0.5000 0.5798
W 0.2492 0.5000 0.0997
W 0.4169 0.0000 0.4794
W 0.7492 0.0000 0.0997
W 0.9169 0.5000 0.4794
C 0.0823 0.5000 0.2947
C 0.3421 0.0000 0.8679
C 0.5823 0.0000 0.2947
C 0.8421 0.5000 0.8679

Principal peaks in the range 2θ from 15° to 90°, sorted by position:
2theta	I (rel.)
22.85	26
35.25	30
35.52	36
36.55	100
37.43	33
38.67	55
40.48	38
41.47	28
52.05	20
67.80	39

***

(5)
Diffraction record for Nb8Zn4C3. The PXRD pattern is computed, not measured: it uses a structure optimized by DFT (PBE) and Cu Kα.
Lines closer than 0.1° are merged.

Structure:
Lattice parameters (Å, degrees): 8.4986 8.4986 8.4986 60.00 60.00 60.00
Atoms (fractional coordinates):
Nb 0.0000 0.0000 0.0000
Nb 0.0000 0.0000 0.5000
Nb 0.0000 0.5000 0.0000
Nb 0.1853 0.1853 0.5647
Nb 0.1853 0.5647 0.1853
Nb 0.1853 0.5647 0.5647
Nb 0.4353 0.4353 0.8147
Nb 0.4353 0.8147 0.4353
Nb 0.4353 0.8147 0.8147
Nb 0.5000 0.0000 0.0000
Nb 0.5647 0.1853 0.1853
Nb 0.5647 0.1853 0.5647
Nb 0.5647 0.5647 0.1853
Nb 0.8147 0.4353 0.4353
Nb 0.8147 0.4353 0.8147
Nb 0.8147 0.8147 0.4353
Zn 0.1387 0.7871 0.7871
Zn 0.2129 0.2129 0.2129
Zn 0.2129 0.2129 0.8613
Zn 0.2129 0.8613 0.2129
Zn 0.7871 0.1387 0.7871
Zn 0.7871 0.7871 0.1387
Zn 0.7871 0.7871 0.7871
Zn 0.8613 0.2129 0.2129
C 0.0000 0.5000 0.5000
C 0.3750 0.3750 0.3750
C 0.5000 0.0000 0.5000
C 0.5000 0.5000 0.0000
C 0.5000 0.5000 0.5000
C 0.6250 0.6250 0.6250

Principal peaks in the range 2θ from 15° to 90°, sorted by position:
2theta	I (rel.)
32.47	15
36.63	33
38.94	100
42.55	36
45.27	6
59.04	7
65.95	32
67.49	10
79.32	16
83.13	6

***

(6)
Diffraction record for Nb5ZnC. The PXRD pattern is computed, not measured: it uses a structure optimized by DFT (PBE) and Cu Kα.
Lines closer than 0.1° are merged.

Structure:
Lattice parameters (Å, degrees): 5.4550 5.4550 7.8240 97.06 97.06 93.65
Atoms (fractional coordinates):
Nb 0.1091 0.6417 0.3692
Nb 0.1148 0.8852 0.7500
Nb 0.1825 0.3586 0.9774
Nb 0.3583 0.8909 0.1308
Nb 0.3586 0.1825 0.4774
Nb 0.6414 0.8175 0.5226
Nb 0.6417 0.1091 0.8692
Nb 0.8175 0.6414 0.0226
Nb 0.8852 0.1148 0.2500
Nb 0.8909 0.3583 0.6308
Zn 0.4512 0.5488 0.7500
Zn 0.5488 0.4512 0.2500
C 0.0000 0.0000 0.0000
C 0.0000 0.0000 0.5000

Principal peaks in the range 2θ from 15° to 90°, sorted by position:
2theta	I (rel.)
33.72	10
36.74	100
38.12	34
38.24	43
38.61	82
52.85	14
55.09	13
55.85	13
65.18	8
67.41	15

***

(7)
Diffraction record for Nb6ZnC. The PXRD pattern is computed, not measured: it uses a structure optimized by DFT (PBE) and Cu Kα.
Lines closer than 0.1° are merged.

Structure:
Lattice parameters (Å, degrees): 4.8571 5.3915 5.7348 79.66 65.66 86.36
Atoms (fractional coordinates):
Nb 0.0638 0.1054 0.2486
Nb 0.3067 0.6646 0.9550
Nb 0.4308 0.2154 0.6612
Nb 0.5692 0.7846 0.3388
Nb 0.6933 0.3354 0.0450
Nb 0.9362 0.8946 0.7514
Zn 0.0000 0.5000 0.5000
C 0.5000 0.0000 0.0000

Principal peaks in the range 2θ from 15° to 90°, sorted by position:
2theta	I (rel.)
36.11	93
37.10	83
37.34	100
37.46	95
39.21	90
39.41	69
52.50	30
57.94	28
65.66	24
65.92	28

***

(8)
Diffraction record for Nb4Zn2C. The PXRD pattern is computed, not measured: it uses a structure optimized by DFT (PBE) and Cu Kα.
Lines closer than 0.1° are merged.

Structure:
Lattice parameters (Å, degrees): 8.4512 8.4512 8.4512 60.00 60.00 60.00
Atoms (fractional coordinates):
Nb 0.0000 0.0000 0.0000
Nb 0.0000 0.0000 0.5000
Nb 0.0000 0.5000 0.0000
Nb 0.1851 0.1851 0.5649
Nb 0.1851 0.5649 0.1851
Nb 0.1851 0.5649 0.5649
Nb 0.4351 0.4351 0.8149
Nb 0.4351 0.8149 0.4351
Nb 0.4351 0.8149 0.8149
Nb 0.5000 0.0000 0.0000
Nb 0.5649 0.1851 0.1851
Nb 0.5649 0.1851 0.5649
Nb 0.5649 0.5649 0.1851
Nb 0.8149 0.4351 0.4351
Nb 0.8149 0.4351 0.8149
Nb 0.8149 0.8149 0.4351
Zn 0.1430 0.7857 0.7857
Zn 0.2143 0.2143 0.2143
Zn 0.2143 0.2143 0.8570
Zn 0.2143 0.8570 0.2143
Zn 0.7857 0.1430 0.7857
Zn 0.7857 0.7857 0.1430
Zn 0.7857 0.7857 0.7857
Zn 0.8570 0.2143 0.2143
C 0.0000 0.5000 0.5000
C 0.5000 0.0000 0.5000
C 0.5000 0.5000 0.0000
C 0.5000 0.5000 0.5000

Principal peaks in the range 2θ from 15° to 90°, sorted by position:
2theta	I (rel.)
32.66	17
36.84	36
39.17	100
42.80	37
59.40	8
66.37	32
67.92	10
79.85	16
82.26	6
83.71	7